# SrSc4Si5O17
Simulated powder XRD pattern, CuKα. Input: a cell relaxed with PBE.
Intensities are scaled so that the largest is 100.

Most intense lines, 2θ from 10° to 80°, by angle:
2θ (°), d_spacing, Rel. int.
16.7, 5.318, 7
27.0, 3.307, 13
28.9, 3.094, 100
29.6, 3.018, 8
30.0, 2.976, 12
33.7, 2.659, 11
34.2, 2.620, 8
42.3, 2.135, 8
44.1, 2.052, 7
46.6, 1.948, 8
53.7, 1.708, 7
57.5, 1.603, 6

Structural model:
```
SrSc4Si5O17
1.0
5.326 0.000 0.000
0.000 19.478 0.000
-1.895 0.000 6.348
Sr Sc Si O
2 8 10 34
Direct
0.233 0.250 0.271 Sr
0.767 0.750 0.729 Sr
0.305 0.038 0.612 Sc
0.305 0.462 0.612 Sc
0.359 0.660 0.038 Sc
0.359 0.840 0.038 Sc
0.641 0.160 0.962 Sc
0.641 0.340 0.962 Sc
0.695 0.538 0.388 Sc
0.695 0.962 0.388 Sc
0.061 0.250 0.756 Si
0.197 0.063 0.090 Si
0.197 0.437 0.090 Si
0.235 0.632 0.515 Si
0.235 0.868 0.515 Si
0.765 0.132 0.485 Si
0.765 0.368 0.485 Si
0.803 0.563 0.910 Si
0.803 0.937 0.910 Si
0.939 0.750 0.244 Si
0.000 0.000 0.000 O
0.000 0.500 0.000 O
0.022 0.184 0.597 O
0.022 0.316 0.597 O
0.026 0.132 0.102 O
0.026 0.368 0.102 O
0.091 0.559 0.534 O
0.091 0.941 0.534 O
0.149 0.750 0.106 O
0.363 0.250 0.907 O
0.372 0.076 0.923 O
0.372 0.424 0.923 O
0.386 0.036 0.319 O
0.386 0.464 0.319 O
0.392 0.670 0.734 O
0.392 0.830 0.734 O
0.419 0.627 0.354 O
0.419 0.873 0.354 O
0.581 0.127 0.646 O
0.581 0.373 0.646 O
0.608 0.170 0.266 O
0.608 0.330 0.266 O
0.614 0.536 0.681 O
0.614 0.964 0.681 O
0.628 0.576 0.077 O
0.628 0.924 0.077 O
0.637 0.750 0.093 O
0.851 0.250 0.894 O
0.909 0.059 0.466 O
0.909 0.441 0.466 O
0.974 0.632 0.898 O
0.974 0.868 0.898 O
0.978 0.684 0.403 O
0.978 0.816 0.403 O
```